This entry pairs a crystal structure of Ac12NdCo5 with its theoretical powder XRD pattern. Radiation: Cu Ka. Structure: the PBE geometry in Alexandria.
No peak broadening, texture or thermal motion is included.

The 12 most intense peaks (10° ≤ 2θ ≤ 80°), by intensity:
2θ 26.11, d 3.412, rel. 100; 2θ 29.99, d 2.980, rel. 70; 2θ 31.43, d 2.846, rel. 66; 2θ 26.67, d 3.343, rel. 63; 2θ 25.33, d 3.517, rel. 56; 2θ 31.97, d 2.800, rel. 55; 2θ 42.35, d 2.134, rel. 54; 2θ 27.33, d 3.264, rel. 50; 2θ 24.91, d 3.574, rel. 42; 2θ 28.00, d 3.186, rel. 42; 2θ 42.11, d 2.146, rel. 41; 2θ 49.96, d 1.825, rel. 39

Atomic structure:
```
Ac12NdCo5
1.0
7.380 0.000 0.000
3.687 6.458 0.000
3.500 1.141 13.650
Ac Nd Co
12 1 5
Direct
0.000 0.000 0.000
0.018 0.432 0.290
0.193 0.326 0.757
0.275 0.061 0.513
0.355 0.781 0.289
0.469 0.479 0.063
0.514 0.678 0.780
0.600 0.400 0.512
0.699 0.091 0.290
0.826 0.059 0.764
0.939 0.728 0.514
0.973 0.521 0.997
0.488 0.018 0.997
0.315 0.417 0.398
0.425 0.361 0.888
0.645 0.749 0.406
0.797 0.351 0.890
0.979 0.081 0.408
```



This entry pairs a crystal structure of AcNdCo with its theoretical powder XRD pattern. Radiation: Cu Ka. Structure: the PBE geometry in Alexandria.
No peak broadening, texture or thermal motion is included.

The 12 most intense peaks (10° ≤ 2θ ≤ 80°), by intensity:
2θ 28.41, d 3.141, rel. 100; 2θ 37.18, d 2.418, rel. 33; 2θ 43.83, d 2.066, rel. 28; 2θ 48.80, d 1.866, rel. 23; 2θ 53.06, d 1.726, rel. 18; 2θ 13.49, d 6.562, rel. 17; 2θ 52.34, d 1.748, rel. 16; 2θ 27.18, d 3.281, rel. 15; 2θ 71.19, d 1.324, rel. 15; 2θ 24.89, d 3.578, rel. 13; 2θ 73.75, d 1.285, rel. 9; 2θ 67.66, d 1.385, rel. 9

Atomic structure:
```
AcNdCo
1.0
4.131 0.000 0.000
-2.066 3.578 0.000
0.000 0.000 6.562
Ac Nd Co
1 1 1
Direct
0.000 0.000 0.000
0.333 0.667 0.455
0.667 0.333 0.238
```



This entry pairs a crystal structure of Ac8NdCo4 with its theoretical powder XRD pattern. Radiation: Cu Ka. Structure: the PBE geometry in Alexandria.
No peak broadening, texture or thermal motion is included.

The 12 most intense peaks (10° ≤ 2θ ≤ 80°), by intensity:
2θ 27.89, d 3.198, rel. 100; 2θ 45.47, d 1.995, rel. 33; 2θ 26.19, d 3.402, rel. 31; 2θ 27.64, d 3.228, rel. 22; 2θ 31.61, d 2.831, rel. 16; 2θ 37.38, d 2.406, rel. 15; 2θ 47.28, d 1.923, rel. 15; 2θ 33.05, d 2.710, rel. 14; 2θ 42.22, d 2.141, rel. 14; 2θ 50.36, d 1.812, rel. 11; 2θ 71.42, d 1.321, rel. 10; 2θ 54.70, d 1.678, rel. 10

Atomic structure:
```
Ac8NdCo4
1.0
-7.217 7.217 2.141
7.217 -7.217 2.141
7.217 7.217 -2.141
Ac Nd Co
8 1 4
Direct
0.045 0.664 0.709
0.314 0.644 0.958
0.336 0.045 0.380
0.356 0.314 0.669
0.644 0.686 0.331
0.664 0.955 0.620
0.686 0.356 0.042
0.955 0.336 0.291
0.000 0.000 0.000
0.150 0.325 0.476
0.325 0.850 0.175
0.675 0.150 0.825
0.850 0.675 0.524
```



This entry pairs a crystal structure of Ac5NdCo3 with its theoretical powder XRD pattern. Radiation: Cu Ka. Structure: the PBE geometry in Alexandria.
No peak broadening, texture or thermal motion is included.

The 12 most intense peaks (10° ≤ 2θ ≤ 80°), by intensity:
2θ 27.75, d 3.215, rel. 100; 2θ 28.04, d 3.182, rel. 99; 2θ 45.18, d 2.007, rel. 63; 2θ 26.14, d 3.409, rel. 61; 2θ 29.01, d 3.078, rel. 37; 2θ 29.56, d 3.022, rel. 32; 2θ 42.29, d 2.137, rel. 27; 2θ 52.44, d 1.745, rel. 26; 2θ 35.96, d 2.498, rel. 24; 2θ 50.39, d 1.811, rel. 22; 2θ 47.48, d 1.915, rel. 18; 2θ 37.74, d 2.384, rel. 18

Atomic structure:
```
Ac5NdCo3
1.0
6.406 -4.878 0.000
6.406 4.878 0.000
-4.247 0.000 9.543
Ac Nd Co
10 2 6
Direct
0.064 0.064 0.365
0.134 0.531 0.336
0.202 0.798 0.000
0.268 0.268 0.966
0.469 0.866 0.664
0.531 0.134 0.336
0.732 0.732 0.034
0.798 0.202 0.000
0.866 0.469 0.664
0.936 0.936 0.635
0.402 0.402 0.702
0.598 0.598 0.298
0.166 0.166 0.166
0.171 0.171 0.664
0.500 0.500 0.000
0.500 0.500 0.500
0.829 0.829 0.336
0.834 0.834 0.834
```



This entry pairs a crystal structure of AcNdCo2 with its theoretical powder XRD pattern. Radiation: Cu Ka. Structure: the PBE geometry in Alexandria.
No peak broadening, texture or thermal motion is included.

The 12 most intense peaks (10° ≤ 2θ ≤ 80°), by intensity:
2θ 31.53, d 2.837, rel. 100; 2θ 28.85, d 3.095, rel. 51; 2θ 38.82, d 2.320, rel. 36; 2θ 36.84, d 2.440, rel. 34; 2θ 34.91, d 2.570, rel. 33; 2θ 26.55, d 3.357, rel. 27; 2θ 50.96, d 1.792, rel. 27; 2θ 26.71, d 3.338, rel. 23; 2θ 55.98, d 1.643, rel. 21; 2θ 45.00, d 2.015, rel. 20; 2θ 59.51, d 1.553, rel. 17; 2θ 51.84, d 1.764, rel. 13

Atomic structure:
```
AcNdCo2
1.0
4.029 0.000 0.000
0.000 6.071 0.000
0.000 0.000 7.992
Ac Nd Co
2 2 4
Direct
0.000 0.124 0.000
0.000 0.876 0.500
0.500 0.377 0.359
0.500 0.623 0.859
0.000 0.350 0.648
0.000 0.650 0.148
0.500 0.192 0.699
0.500 0.808 0.199
```



This entry pairs a crystal structure of Ac3Nd3Co2 with its theoretical powder XRD pattern. Radiation: Cu Ka. Structure: the PBE geometry in Alexandria.
No peak broadening, texture or thermal motion is included.

The 12 most intense peaks (10° ≤ 2θ ≤ 80°), by intensity:
2θ 29.22, d 3.056, rel. 100; 2θ 37.90, d 2.374, rel. 24; 2θ 49.49, d 1.842, rel. 23; 2θ 45.43, d 1.997, rel. 22; 2θ 27.32, d 3.264, rel. 21; 2θ 53.83, d 1.703, rel. 17; 2θ 54.93, d 1.671, rel. 15; 2θ 25.76, d 3.458, rel. 14; 2θ 73.95, d 1.282, rel. 11; 2θ 75.20, d 1.264, rel. 9; 2θ 69.43, d 1.354, rel. 7; 2θ 78.28, d 1.221, rel. 6

Atomic structure:
```
Ac3Nd3Co2
1.0
6.916 3.993 6.528
-6.916 3.993 6.528
0.000 -7.986 6.528
Ac Nd Co
12 12 8
Direct
0.081 0.250 0.912
0.088 0.919 0.750
0.228 0.422 0.588
0.250 0.912 0.081
0.412 0.772 0.578
0.422 0.588 0.228
0.578 0.412 0.772
0.588 0.228 0.422
0.750 0.088 0.919
0.772 0.578 0.412
0.912 0.081 0.250
0.919 0.750 0.088
0.100 0.763 0.412
0.102 0.413 0.228
0.228 0.102 0.413
0.237 0.588 0.900
0.412 0.100 0.763
0.413 0.228 0.102
0.587 0.772 0.898
0.588 0.900 0.237
0.763 0.412 0.100
0.772 0.898 0.587
0.898 0.587 0.772
0.900 0.237 0.588
0.138 0.676 0.666
0.324 0.334 0.862
0.334 0.862 0.324
0.337 0.337 0.337
0.663 0.663 0.663
0.666 0.138 0.676
0.676 0.666 0.138
0.862 0.324 0.334
```



This entry pairs a crystal structure of AcNd4Co with its theoretical powder XRD pattern. Radiation: Cu Ka. Structure: the PBE geometry in Alexandria.
No peak broadening, texture or thermal motion is included.

The 12 most intense peaks (10° ≤ 2θ ≤ 80°), by intensity:
2θ 28.58, d 3.123, rel. 100; 2θ 28.22, d 3.162, rel. 87; 2θ 30.11, d 2.968, rel. 70; 2θ 30.98, d 2.886, rel. 61; 2θ 43.75, d 2.069, rel. 50; 2θ 56.01, d 1.642, rel. 31; 2θ 37.25, d 2.414, rel. 24; 2θ 52.75, d 1.735, rel. 22; 2θ 31.40, d 2.849, rel. 21; 2θ 57.44, d 1.604, rel. 21; 2θ 47.09, d 1.930, rel. 19; 2θ 49.20, d 1.852, rel. 18

Atomic structure:
```
AcNd4Co
1.0
2.886 -9.284 0.000
2.886 9.284 0.000
0.000 0.000 7.720
Ac Nd Co
2 8 2
Direct
0.109 0.891 0.750
0.891 0.109 0.250
0.117 0.883 0.250
0.300 0.700 0.505
0.300 0.700 0.995
0.500 0.500 0.000
0.500 0.500 0.500
0.700 0.300 0.005
0.700 0.300 0.495
0.883 0.117 0.750
0.402 0.598 0.750
0.598 0.402 0.250
```



This entry pairs a crystal structure of Ac19Co6Ni4 with its theoretical powder XRD pattern. Radiation: Cu Ka. Structure: the PBE geometry in Alexandria.
No peak broadening, texture or thermal motion is included.

The 12 most intense peaks (10° ≤ 2θ ≤ 80°), by intensity:
2θ 30.40, d 2.940, rel. 100; 2θ 26.74, d 3.334, rel. 58; 2θ 36.73, d 2.447, rel. 47; 2θ 22.54, d 3.945, rel. 45; 2θ 51.82, d 1.764, rel. 30; 2θ 58.23, d 1.584, rel. 28; 2θ 39.57, d 2.278, rel. 26; 2θ 32.09, d 2.789, rel. 22; 2θ 64.23, d 1.450, rel. 18; 2θ 42.24, d 2.139, rel. 17; 2θ 69.93, d 1.345, rel. 14; 2θ 48.40, d 1.881, rel. 14

Atomic structure:
```
Ac19Co6Ni4
1.0
-6.237 6.237 6.237
6.237 -6.237 6.237
6.237 6.237 -6.237
Ac Co Ni
19 6 4
Direct
0.000 0.000 0.000
0.000 0.291 0.291
0.000 0.709 0.709
0.052 0.270 0.650
0.218 0.948 0.598
0.270 0.650 0.052
0.291 0.000 0.291
0.291 0.291 0.000
0.350 0.620 0.402
0.380 0.730 0.782
0.402 0.350 0.620
0.598 0.218 0.948
0.620 0.402 0.350
0.650 0.052 0.270
0.709 0.000 0.709
0.709 0.709 0.000
0.730 0.782 0.380
0.782 0.380 0.730
0.948 0.598 0.218
0.113 0.613 0.500
0.387 0.500 0.887
0.500 0.113 0.613
0.500 0.887 0.387
0.613 0.500 0.113
0.887 0.387 0.500
0.000 0.000 0.720
0.000 0.720 0.000
0.280 0.280 0.280
0.720 0.000 0.000
```